Theoretical powder diffractogram
Compound: Li2NbFe3O8
Radiation: λ = 1.5418 Å (Cu Kα)
Structure: a structure optimized by DFT (GGA+U)

Structural model:
a = 6.005 Å, b = 6.005 Å, c = 9.754 Å
α = 90.00°, β = 90.00°, γ = 120.00°
Atoms (fractional coordinates):
1 Li 0.000 0.000 0.000
2 Li 0.000 0.000 0.500
3 Li 0.333 0.667 0.412
4 Li 0.667 0.333 0.912
5 Nb 0.333 0.667 0.003
6 Nb 0.667 0.333 0.503
7 Fe 0.171 0.342 0.726
8 Fe 0.171 0.829 0.726
9 Fe 0.342 0.171 0.226
10 Fe 0.658 0.829 0.726
11 Fe 0.829 0.171 0.226
12 Fe 0.829 0.658 0.226
13 O 0.000 0.000 0.313
14 O 0.000 0.000 0.813
15 O 0.038 0.519 0.853
16 O 0.168 0.335 0.101
17 O 0.168 0.832 0.101
18 O 0.333 0.667 0.617
19 O 0.335 0.168 0.601
20 O 0.481 0.519 0.853
21 O 0.481 0.962 0.853
22 O 0.519 0.038 0.353
23 O 0.519 0.481 0.353
24 O 0.665 0.832 0.101
25 O 0.667 0.333 0.117
26 O 0.832 0.168 0.601
27 O 0.832 0.665 0.601
28 O 0.962 0.481 0.353

Main lines, by angle (10 to 90 degrees two-theta):
Position (°2θ)  I/Imax  hkl
18.19  19  0 0 2
19.34  100  1 0 1
25.03  31  1 0 2
32.48  40  1 0 3
35.10  51  1 1 2
35.74  39  2 0 1
39.27  22  2 0 2
44.62  38  2 0 3
51.37  15  2 0 4
54.56  21  2 1 3
59.21  34  2 0 5
61.80  30  2 2 0